Record 1
Simulated powder XRD pattern of TbFe6Co5W for Cu Kα, 1.54184 Å, from a crystal structure in Alexandria, relaxed with GGA-PBE.
Neutral-atom scattering factors, no anomalous dispersion.

Structure:
```
data_TbFe6Co5W
_chemical_formula_sum 'Tb2 Fe12 Co10 W2'
_symmetry_space_group_name_H-M 'I m m 2'
_symmetry_Int_Tables_number 44
_cell_length_a 4.6779
_cell_length_b 8.4135
_cell_length_c 8.4510
_cell_angle_alpha 90.00
_cell_angle_beta 90.00
_cell_angle_gamma 90.00
loop_
_symmetry_equiv_pos_as_xyz
'x,y,z'
'-x,-y,z'
'-x,y,z'
'x,-y,z'
'x+1/2,y+1/2,z+1/2'
'-x+1/2,-y+1/2,z+1/2'
'-x+1/2,y+1/2,z+1/2'
'x+1/2,-y+1/2,z+1/2'
loop_
_atom_site_label
_atom_site_type_symbol
_atom_site_fract_x
_atom_site_fract_y
_atom_site_fract_z
Tb1 Tb 0.0000 0.0000 0.0000
Fe1 Fe 0.0000 0.5000 0.2718
Fe2 Fe 0.0000 0.5000 0.7233
Fe3 Fe 0.2499 0.2490 0.2479
Co1 Co 0.0000 0.0000 0.3463
Co2 Co 0.0000 0.2753 0.4954
Co3 Co 0.0000 0.3593 0.9956
W1 W 0.0000 0.0000 0.6262
```

Most intense lines, 2θ = 5–70°, in order of rising 2θ:
Position (°2θ), intensity, index
21.7, 264, 1 1 0
30.4, 290, 1 1 2
37.3, 301, 1 0 3
37.4, 348, 1 3 0
38.5, 224, 2 0 0
43.0, 315, 0 4 0
43.2, 1000, 1 2 3
44.3, 676, 2 2 0

---

Record 2
Simulated powder XRD pattern of Sr4Pa3GaP8 for Cu Kα, 1.54184 Å, from a crystal structure in Alexandria, relaxed with GGA-PBE.
Neutral-atom scattering factors, no anomalous dispersion.

Structure:
```
data_Sr4Pa3GaP8
_chemical_formula_sum 'Sr12 Pa9 Ga3 P24'
_symmetry_space_group_name_H-M 'R -3 m'
_symmetry_Int_Tables_number 166
_symmetry_space_group_name_Hall '-R 3 2"'
_cell_length_a 8.3835
_cell_length_b 8.3835
_cell_length_c 20.2849
_cell_angle_alpha 90.00
_cell_angle_beta 90.00
_cell_angle_gamma 120.00
loop_
_atom_site_label
_atom_site_type_symbol
_atom_site_fract_x
_atom_site_fract_y
_atom_site_fract_z
Sr1 Sr 0.0000 0.0000 0.0000
Sr2 Sr 0.0000 0.5000 0.0000
Pa1 Pa 0.0000 0.5000 0.5000
Ga1 Ga 0.0000 0.0000 0.5000
P1 P 0.0000 0.0000 0.2389
P2 P 0.0118 0.5059 0.7645
```

Most intense lines, 2θ = 5–70°, in order of rising 2θ:
Position (°2θ), intensity, index
13.1, 273, 0 0 3
26.1, 588, 2 0 2
26.4, 204, 0 0 6
30.3, 1000, 0 2 4
43.2, 382, 2 2 0
43.5, 344, 2 0 8
51.3, 213, 2 2 6
53.6, 197, 4 0 4

---

Record 3
Simulated powder XRD pattern of RbSe3S3 for Cu Kα, 1.54184 Å, from a crystal structure in Alexandria, relaxed with GGA-PBE.
Neutral-atom scattering factors, no anomalous dispersion.

Structure:
```
data_RbSe3S3
_chemical_formula_sum 'Rb2 Se6 S6'
_symmetry_space_group_name_H-M 'P 63/m'
_symmetry_Int_Tables_number 176
_symmetry_space_group_name_Hall '-P 6c'
_cell_length_a 10.5823
_cell_length_b 10.5823
_cell_length_c 4.4749
_cell_angle_alpha 90.00
_cell_angle_beta 90.00
_cell_angle_gamma 120.00
loop_
_atom_site_label
_atom_site_type_symbol
_atom_site_fract_x
_atom_site_fract_y
_atom_site_fract_z
Rb1 Rb 0.3333 0.6667 0.2500
Se1 Se 0.0322 0.2078 0.7500
S1 S 0.0545 0.4172 0.7500
```

Most intense lines, 2θ = 5–70°, in order of rising 2θ:
Position (°2θ), intensity, index
9.7, 940, 1 0 0
25.7, 897, 2 1 0
26.1, 1000, 1 1 1
27.9, 707, 2 0 1
32.7, 651, 1 2 1
40.3, 351, 0 0 2
40.8, 677, 3 1 1
45.3, 444, 1 4 0

---

Record 4
Simulated powder XRD pattern of HoSi3Tc5 for Cu Kα, 1.54184 Å, from a crystal structure in Alexandria, relaxed with GGA-PBE.
Neutral-atom scattering factors, no anomalous dispersion.

Structure:
```
data_HoSi3Tc5
_chemical_formula_sum 'Ho4 Si12 Tc20'
_symmetry_space_group_name_H-M 'C m c m'
_symmetry_Int_Tables_number 63
_symmetry_space_group_name_Hall '-C 2c 2'
_cell_length_a 4.2509
_cell_length_b 12.2084
_cell_length_c 11.3213
_cell_angle_alpha 90.00
_cell_angle_beta 90.00
_cell_angle_gamma 90.00
loop_
_atom_site_label
_atom_site_type_symbol
_atom_site_fract_x
_atom_site_fract_y
_atom_site_fract_z
Ho1 Ho 0.0000 0.1504 0.2500
Si1 Si 0.0000 0.1511 0.7500
Si2 Si 0.0000 0.4050 0.5754
Tc1 Tc 0.0000 0.0000 0.0000
Tc2 Tc 0.0000 0.2071 0.5389
Tc3 Tc 0.0000 0.4078 0.1464
```

Most intense lines, 2θ = 5–70°, in order of rising 2θ:
Position (°2θ), intensity, index
23.5, 406, 1 1 1
27.8, 339, 0 2 3
31.4, 475, 1 3 1
32.6, 530, 1 1 3
33.4, 581, 0 4 2
38.9, 1000, 1 1 4
42.5, 827, 2 0 0
42.7, 718, 1 5 0

---

Record 5
Simulated powder XRD pattern of Li5Nd2Zn5 for Cu Kα, 1.54184 Å, from a crystal structure in Alexandria, relaxed with GGA-PBE.
Neutral-atom scattering factors, no anomalous dispersion.

Structure:
```
data_Li5Nd2Zn5
_chemical_formula_sum 'Li5 Nd2 Zn5'
_symmetry_space_group_name_H-M 'P m m m'
_symmetry_Int_Tables_number 47
_cell_length_a 4.5693
_cell_length_b 5.2579
_cell_length_c 9.4369
_cell_angle_alpha 90.00
_cell_angle_beta 90.00
_cell_angle_gamma 90.00
loop_
_symmetry_equiv_pos_as_xyz
'x,y,z'
'-x,-y,-z'
'-x,-y,z'
'x,y,-z'
'x,-y,-z'
'-x,y,z'
'-x,y,-z'
'x,-y,z'
loop_
_atom_site_label
_atom_site_type_symbol
_atom_site_fract_x
_atom_site_fract_y
_atom_site_fract_z
Li1 Li 0.0000 0.0000 0.0000
Li2 Li 0.0000 0.2500 0.2561
Nd1 Nd 0.5000 0.0000 0.5000
Nd2 Nd 0.5000 0.5000 0.0000
Zn1 Zn 0.0000 0.5000 0.5000
Zn2 Zn 0.5000 0.0000 0.1675
Zn3 Zn 0.5000 0.5000 0.3293
```

Most intense lines, 2θ = 5–70°, in order of rising 2θ:
Position (°2θ), intensity, index
19.4, 778, 1 0 0
27.5, 299, 1 1 1
33.2, 447, 0 1 3
34.1, 334, 0 2 0
38.7, 1000, 1 1 3
39.4, 253, 2 0 0
39.5, 299, 1 2 0
52.5, 241, 2 1 3

---

Record 6
Simulated powder XRD pattern of BC2 for Cu Kα, 1.54184 Å, from a crystal structure in Alexandria, relaxed with GGA-PBE.
Neutral-atom scattering factors, no anomalous dispersion.

Structure:
```
data_BC2
_chemical_formula_sum 'B4 C8'
_symmetry_space_group_name_H-M 'P m m 2'
_symmetry_Int_Tables_number 25
_cell_length_a 2.4883
_cell_length_b 2.5238
_cell_length_c 12.1250
_cell_angle_alpha 90.00
_cell_angle_beta 90.00
_cell_angle_gamma 90.00
loop_
_symmetry_equiv_pos_as_xyz
'x,y,z'
'-x,-y,z'
'-x,y,z'
'x,-y,z'
loop_
_atom_site_label
_atom_site_type_symbol
_atom_site_fract_x
_atom_site_fract_y
_atom_site_fract_z
B1 B 0.0000 0.0000 0.0000
B2 B 0.0000 0.0000 0.3594
B3 B 0.0000 0.5000 0.6077
B4 B 0.5000 0.0000 0.1114
C1 C 0.0000 0.0000 0.6951
C2 C 0.0000 0.5000 0.2686
C3 C 0.0000 0.5000 0.9153
C4 C 0.5000 0.0000 0.4493
C5 C 0.5000 0.0000 0.7651
C6 C 0.5000 0.5000 0.2001
C7 C 0.5000 0.5000 0.5167
C8 C 0.5000 0.5000 0.8445
```

Most intense lines, 2θ = 5–70°, in order of rising 2θ:
Position (°2θ), intensity, index
7.3, 334, 0 0 1
14.6, 191, 0 0 2
22.0, 91, 0 0 3
29.5, 55, 0 0 4
42.2, 1000, 0 1 3
42.7, 930, 1 0 3
46.8, 17, 0 1 4
52.3, 23, 0 1 5